Structure and theoretical powder XRD pattern of CaTl2FeBr6 (a cell relaxed with GGA-PBE; Cu Kα X-rays).
Kinematic intensities with the Lorentz-polarization factor, no thermal factor.

Largest 10 diffraction maxima, low angle first, 2θ from 10° to 90°:
3.885 Å, intensity 37
3.805 Å, intensity 36
3.284 Å, intensity 47
3.161 Å, intensity 95
3.076 Å, intensity 32
2.718 Å, intensity 100
2.453 Å, intensity 25
2.243 Å, intensity 30
1.813 Å, intensity 28
1.523 Å, intensity 26

Structure:
abc: 7.7690 7.7690 18.4532
angles: 90.00 90.00 120.00
Space group R-3 (No. 148, hexagonal axes)
One atom of each set of equivalent atoms:
Ca 0.0000 0.0000 0.0000 [3 per cell]
Tl 0.0000 0.0000 0.2707 [6 per cell]
Fe 0.0000 0.0000 0.5000 [3 per cell]
Br 0.0211 0.4390 0.2483 [18 per cell]


Structure and theoretical powder XRD pattern of CaGeBr2 (a cell relaxed with GGA-PBE; Cu Kα X-rays).
Kinematic intensities with the Lorentz-polarization factor, no thermal factor.

Largest 10 diffraction maxima, low angle first, 2θ from 10° to 90°:
8.095 Å, intensity 36
5.927 Å, intensity 33
3.833 Å, intensity 78
3.669 Å, intensity 53
3.573 Å, intensity 87
2.730 Å, intensity 39
2.651 Å, intensity 55
2.578 Å, intensity 100
2.100 Å, intensity 67
1.804 Å, intensity 35

Structure:
abc: 17.404 4.091 8.095
angles: 90.00 90.05 90.00
Space group Cm (No. 8)
One atom of each set of equivalent atoms:
Ca 0.000 0.000 0.000 [2 per cell]
Ca 0.149 0.500 0.636 [2 per cell]
Ge 0.326 0.500 0.825 [2 per cell]
Ge 0.330 0.000 0.989 [2 per cell]
Br 0.024 0.000 0.645 [2 per cell]
Br 0.119 0.500 0.996 [2 per cell]
Br 0.222 0.000 0.457 [2 per cell]
Br 0.436 0.000 0.226 [2 per cell]


Structure and theoretical powder XRD pattern of CaGeBr5 (a cell relaxed with GGA-PBE; Cu Kα X-rays).
Kinematic intensities with the Lorentz-polarization factor, no thermal factor.

Largest 10 diffraction maxima, low angle first, 2θ from 10° to 90°:
6.352 Å, intensity 35
4.990 Å, intensity 84
3.509 Å, intensity 38
3.453 Å, intensity 38
2.948 Å, intensity 49
2.822 Å, intensity 100
2.668 Å, intensity 53
2.558 Å, intensity 72
2.117 Å, intensity 33
1.939 Å, intensity 40

Structure:
abc: 9.849 10.672 9.584
angles: 90.00 108.94 90.00
Space group C2/c (No. 15)
One atom of each set of equivalent atoms:
Ca 0.000 0.044 0.250 [4 per cell]
Ge 0.250 0.250 0.000 [4 per cell]
Br 0.000 0.233 0.750 [4 per cell]
Br 0.090 0.292 0.156 [8 per cell]
Br 0.210 0.002 0.039 [8 per cell]


Structure and theoretical powder XRD pattern of CaGe5Br12 (a cell relaxed with GGA-PBE; Cu Kα X-rays).
Kinematic intensities with the Lorentz-polarization factor, no thermal factor.

Largest 10 diffraction maxima, low angle first, 2θ from 10° to 90°:
7.064 Å, intensity 71
3.445 Å, intensity 25
3.177 Å, intensity 100
2.838 Å, intensity 69
2.505 Å, intensity 31
2.213 Å, intensity 38
2.055 Å, intensity 18
2.031 Å, intensity 48
1.963 Å, intensity 25
1.588 Å, intensity 19

Structure:
abc: 7.105 12.332 14.128
angles: 90.00 90.01 90.00
Space group C2/m (No. 12)
One atom of each set of equivalent atoms:
Ca 0.000 0.000 0.000 [2 per cell]
Ge 0.000 0.167 0.500 [4 per cell]
Ge 0.000 0.333 0.000 [4 per cell]
Ge 0.000 0.500 0.500 [2 per cell]
Br 0.159 0.500 0.114 [4 per cell]
Br 0.166 0.333 0.388 [8 per cell]
Br 0.167 0.000 0.387 [4 per cell]
Br 0.170 0.170 0.114 [8 per cell]


Structure and theoretical powder XRD pattern of Ca5GeBr12 (a cell relaxed with GGA-PBE; Cu Kα X-rays).
Kinematic intensities with the Lorentz-polarization factor, no thermal factor.

Largest 10 diffraction maxima, low angle first, 2θ from 10° to 90°:
7.134 Å, intensity 53
3.568 Å, intensity 44
3.276 Å, intensity 100
2.914 Å, intensity 56
2.563 Å, intensity 27
2.257 Å, intensity 29
2.105 Å, intensity 43
1.998 Å, intensity 22
1.719 Å, intensity 17
1.367 Å, intensity 27

Structure:
abc: 7.370 12.777 14.268
angles: 90.00 90.04 90.00
Space group C2/m (No. 12)
One atom of each set of equivalent atoms:
Ca 0.000 0.000 0.000 [2 per cell]
Ca 0.000 0.167 0.500 [4 per cell]
Ca 0.000 0.333 0.000 [4 per cell]
Ge 0.000 0.500 0.500 [2 per cell]
Br 0.163 0.337 0.609 [8 per cell]
Br 0.166 0.167 0.889 [8 per cell]
Br 0.167 0.500 0.890 [4 per cell]
Br 0.174 0.000 0.609 [4 per cell]


Structure and theoretical powder XRD pattern of CaH4Br3N (a cell relaxed with GGA-PBE; Cu Kα X-rays).
Kinematic intensities with the Lorentz-polarization factor, no thermal factor.

Largest 10 diffraction maxima, low angle first, 2θ from 10° to 90°:
7.405 Å, intensity 39
3.312 Å, intensity 43
3.286 Å, intensity 73
3.269 Å, intensity 100
3.202 Å, intensity 45
3.149 Å, intensity 42
3.072 Å, intensity 48
2.730 Å, intensity 35
2.252 Å, intensity 34
2.153 Å, intensity 29

Structure:
abc: 4.307 7.658 10.928
angles: 90.13 90.03 104.78
Space group P1 (No. 1)
One atom of each set of equivalent atoms:
Ca 0.000 0.000 0.000 [1 per cell]
Ca 0.061 0.986 0.500 [1 per cell]
H 0.076 0.404 0.697 [1 per cell]
H 0.190 0.607 0.770 [1 per cell]
H 0.377 0.440 0.802 [1 per cell]
H 0.430 0.549 0.666 [1 per cell]
H 0.636 0.437 0.163 [1 per cell]
H 0.681 0.547 0.300 [1 per cell]
H 0.871 0.380 0.270 [1 per cell]
H 0.987 0.583 0.198 [1 per cell]
Br 0.100 0.127 0.252 [1 per cell]
Br 0.383 0.744 0.053 [1 per cell]
Br 0.445 0.724 0.446 [1 per cell]
Br 0.615 0.262 0.947 [1 per cell]
Br 0.678 0.242 0.554 [1 per cell]
Br 0.962 0.859 0.752 [1 per cell]
N 0.269 0.499 0.735 [1 per cell]
N 0.793 0.488 0.234 [1 per cell]


Structure and theoretical powder XRD pattern of CaH4Br3N (a cell relaxed with GGA-PBE; Cu Kα X-rays).
Kinematic intensities with the Lorentz-polarization factor, no thermal factor.

Largest 10 diffraction maxima, low angle first, 2θ from 10° to 90°:
8.480 Å, intensity 21
3.422 Å, intensity 31
3.301 Å, intensity 30
3.235 Å, intensity 100
3.145 Å, intensity 45
3.089 Å, intensity 31
3.058 Å, intensity 38
2.614 Å, intensity 20
2.207 Å, intensity 26
2.011 Å, intensity 41

Structure:
abc: 9.942 4.414 16.246
angles: 90.00 90.00 90.00
Space group Pnma (No. 62)
One atom of each set of equivalent atoms:
Ca 0.163 0.250 0.062 [4 per cell]
H 0.005 0.750 0.375 [4 per cell]
H 0.047 0.250 0.723 [4 per cell]
H 0.096 0.561 0.300 [8 per cell]
Br 0.029 0.250 0.901 [4 per cell]
Br 0.164 0.250 0.511 [4 per cell]
Br 0.248 0.750 0.730 [4 per cell]
N 0.037 0.750 0.314 [4 per cell]


Structure and theoretical powder XRD pattern of CaH12Br2O6 (a cell relaxed with GGA-PBE; Cu Kα X-rays).
Kinematic intensities with the Lorentz-polarization factor, no thermal factor.

Largest 10 diffraction maxima, low angle first, 2θ from 10° to 90°:
4.078 Å, intensity 100
3.535 Å, intensity 72
2.886 Å, intensity 47
2.671 Å, intensity 50
2.354 Å, intensity 42
2.234 Å, intensity 59
2.040 Å, intensity 23
1.767 Å, intensity 34
1.621 Å, intensity 25
1.541 Å, intensity 24

Structure:
abc: 8.1539 8.1539 4.0853
angles: 90.00 90.00 120.00
Space group P321 (No. 150)
One atom of each set of equivalent atoms:
Ca 0.0000 0.0000 0.0000 [1 per cell]
H 0.0973 0.4208 0.0953 [6 per cell]
H 0.1098 0.7742 0.5195 [6 per cell]
Br 0.3333 0.6667 0.4064 [2 per cell]
O 0.0000 0.2995 0.0000 [3 per cell]
O 0.0000 0.7935 0.5000 [3 per cell]


Structure and theoretical powder XRD pattern of CaH8Br2O12 (a cell relaxed with GGA-PBE; Cu Kα X-rays).
Kinematic intensities with the Lorentz-polarization factor, no thermal factor.

Largest 10 diffraction maxima, low angle first, 2θ from 10° to 90°:
6.185 Å, intensity 52
5.138 Å, intensity 72
4.587 Å, intensity 100
3.998 Å, intensity 76
3.858 Å, intensity 77
3.824 Å, intensity 48
3.626 Å, intensity 65
3.358 Å, intensity 68
3.293 Å, intensity 48
3.240 Å, intensity 47

Structure:
abc: 5.637 8.113 12.200
angles: 99.85 90.96 90.33
Space group P-1 (No. 2)
One atom of each set of equivalent atoms:
Ca 0.017 0.232 0.254 [2 per cell]
H 0.190 0.512 0.876 [2 per cell]
H 0.219 0.913 0.315 [2 per cell]
H 0.302 0.682 0.934 [2 per cell]
H 0.309 0.814 0.561 [2 per cell]
H 0.314 0.547 0.302 [2 per cell]
H 0.323 0.921 0.197 [2 per cell]
H 0.436 0.918 0.668 [2 per cell]
H 0.465 0.425 0.215 [2 per cell]
Br 0.134 0.312 0.584 [2 per cell]
Br 0.267 0.176 0.945 [2 per cell]
O 0.076 0.314 0.914 [2 per cell]
O 0.146 0.747 0.398 [2 per cell]
O 0.150 0.519 0.609 [2 per cell]
O 0.213 0.242 0.456 [2 per cell]
O 0.226 0.993 0.866 [2 per cell]
O 0.243 0.153 0.076 [2 per cell]
O 0.249 0.621 0.860 [2 per cell]
O 0.276 0.992 0.267 [2 per cell]
O 0.287 0.860 0.639 [2 per cell]
O 0.310 0.439 0.252 [2 per cell]
O 0.316 0.240 0.671 [2 per cell]
O 0.457 0.763 0.073 [2 per cell]


Structure and theoretical powder XRD pattern of CaZnH10Br4O5 (a cell relaxed with GGA-PBE; Cu Kα X-rays).
Kinematic intensities with the Lorentz-polarization factor, no thermal factor.

Largest 10 diffraction maxima, low angle first, 2θ from 10° to 90°:
6.114 Å, intensity 34
5.455 Å, intensity 60
4.287 Å, intensity 100
4.088 Å, intensity 59
3.421 Å, intensity 67
3.356 Å, intensity 31
3.202 Å, intensity 39
3.126 Å, intensity 52
2.912 Å, intensity 36
2.474 Å, intensity 32

Structure:
abc: 7.961 9.929 10.348
angles: 72.29 76.78 87.54
Space group P-1 (No. 2)
One atom of each set of equivalent atoms:
Ca 0.081 0.237 0.121 [2 per cell]
Zn 0.387 0.996 0.228 [2 per cell]
H 0.028 0.514 0.755 [2 per cell]
H 0.056 0.657 0.633 [2 per cell]
H 0.140 0.906 0.128 [2 per cell]
H 0.212 0.903 0.654 [2 per cell]
H 0.243 0.952 0.782 [2 per cell]
H 0.285 0.000 0.994 [2 per cell]
H 0.334 0.128 0.805 [2 per cell]
H 0.348 0.234 0.269 [2 per cell]
H 0.381 0.554 0.838 [2 per cell]
H 0.460 0.680 0.546 [2 per cell]
Br 0.067 0.275 0.834 [2 per cell]
Br 0.272 0.557 0.973 [2 per cell]
Br 0.282 0.812 0.450 [2 per cell]
Br 0.425 0.416 0.372 [2 per cell]
O 0.000 0.385 0.268 [2 per cell]
O 0.158 0.904 0.749 [2 per cell]
O 0.222 0.989 0.098 [2 per cell]
O 0.307 0.183 0.216 [2 per cell]
O 0.369 0.031 0.842 [2 per cell]